1.
For Na3GdCl6, a structure optimized by DFT (PBE) gives the theoretical powder diffractogram in this record (Cu Kα, 1.54184 Å).

Principal peaks in the range 10° ≤ 2θ ≤ 80°, by angle:
- 2θ = 14.34°, I 748, (1 1 1)
- 2θ = 16.57°, I 1000, (2 0 0)
- 2θ = 23.52°, I 476, (2 2 0)
- 2θ = 27.66°, I 448, (3 1 1)
- 2θ = 33.51°, I 809, (4 0 0)
- 2θ = 37.60°, I 482, (4 2 0)
- 2θ = 48.12°, I 538, (4 4 0)
- 2θ = 51.24°, I 239, (6 0 0)

Structural model:
abc: 10.6969 10.6969 10.6969
angles: 90.00 90.00 90.00
Space group Fm-3m (No. 225)
Asymmetric unit:
Na  0.0000  0.0000  0.0000 [4 per cell]
Na  0.2500  0.2500  0.2500 [8 per cell]
Gd  0.0000  0.0000  0.5000 [4 per cell]
Cl  0.0000  0.0000  0.2525 [24 per cell]

=====

2.
For Na3GdCl6, a structure optimized by DFT (PBE) gives the theoretical powder diffractogram in this record (Cu Kα, 1.54184 Å).

Principal peaks in the range 10° ≤ 2θ ≤ 80°, by angle:
- 2θ = 15.08°, I 1000, (1 0 1)
- 2θ = 17.11°, I 760, (0 1 2)
- 2θ = 23.60°, I 363, (1 0 4)
- 2θ = 28.72°, I 661, (2 -1 3)
- 2θ = 34.63°, I 300, (0 2 4)
- 2θ = 37.96°, I 652, (1 1 6)
- 2θ = 43.99°, I 389, (3 0 0)
- 2θ = 50.13°, I 253, (1 1 9)

Structural model:
abc: 7.1305 7.1305 19.0423
angles: 90.00 90.00 120.00
Space group R-3 (No. 148, hexagonal axes)
Asymmetric unit:
Na  0.0000  0.0000  0.0000 [3 per cell]
Na  0.0000  0.0000  0.3003 [6 per cell]
Gd  0.0000  0.0000  0.5000 [3 per cell]
Cl  0.0209  0.3089  0.5860 [18 per cell]

=====

3.
For GdClO2, a structure optimized by DFT (PBE) gives the theoretical powder diffractogram in this record (Cu Kα, 1.54184 Å).

Principal peaks in the range 10° ≤ 2θ ≤ 80°, by angle:
- 2θ = 14.53°, I 782, (0 0 1)
- 2θ = 16.78°, I 818, (1 0 -1)
- 2θ = 24.38°, I 873, (1 0 1)
- 2θ = 27.78°, I 573, (1 0 -2)
- 2θ = 28.48°, I 975, (0 1 1)
- 2θ = 28.72°, I 571, (1 1 0)
- 2θ = 29.74°, I 1000, (1 1 -1)
- 2θ = 49.93°, I 790, (0 2 0)

Structural model:
abc: 6.3329 3.6522 6.5174
angles: 90.00 110.74 90.00
Space group P2_1/m (No. 11)
Asymmetric unit:
Gd  0.1866  0.2500  0.3422 [2 per cell]
Cl  0.2425  0.7500  0.0311 [2 per cell]
O  0.0544  0.2500  0.6293 [2 per cell]
O  0.4222  0.7500  0.5569 [2 per cell]

=====

4.
For GdSClO4, a structure optimized by DFT (PBE) gives the theoretical powder diffractogram in this record (Cu Kα, 1.54184 Å).

Principal peaks in the range 10° ≤ 2θ ≤ 80°, by angle:
- 2θ = 16.45°, I 795, (1 1 0)
- 2θ = 19.25°, I 1000, (2 0 0)
- 2θ = 19.57°, I 728, (1 1 -1)
- 2θ = 26.02°, I 410, (1 0 -2)
- 2θ = 26.83°, I 656, (0 0 2)
- 2θ = 30.09°, I 465, (0 2 1)
- 2θ = 31.74°, I 572, (3 1 -1)
- 2θ = 33.95°, I 492, (2 2 -1)

Structural model:
abc: 9.5491 6.6395 6.8848
angles: 90.00 105.07 90.00
Space group P2_1/c (No. 14)
Asymmetric unit:
Gd  0.2365  0.0954  0.1732 [4 per cell]
S  0.3563  0.5593  0.2085 [4 per cell]
Cl  0.0302  0.1395  0.8109 [4 per cell]
O  0.2787  0.0721  0.5321 [4 per cell]
O  0.2812  0.7461  0.6953 [4 per cell]
O  0.3442  0.0579  0.8874 [4 per cell]
O  0.4925  0.0876  0.2958 [4 per cell]

=====

5.
For Gd3Si2Cl5O6, a structure optimized by DFT (PBE) gives the theoretical powder diffractogram in this record (Cu Kα, 1.54184 Å).

Principal peaks in the range 10° ≤ 2θ ≤ 80°, by angle:
- 2θ = 16.80°, I 1000, (0 2 0)
- 2θ = 16.98°, I 561, (2 0 0)
- 2θ = 23.07°, I 392, (0 0 3)
- 2θ = 23.97°, I 416, (2 2 -1)
- 2θ = 25.43°, I 336, (2 0 -3)
- 2θ = 31.81°, I 402, (2 0 3)
- 2θ = 38.22°, I 339, (2 4 0)
- 2θ = 44.61°, I 349, (4 2 2)

Structural model:
abc: 10.7221 10.5531 11.8745
angles: 90.00 103.07 90.00
Space group C2/m (No. 12)
Asymmetric unit:
Gd  0.1677  0.2488  0.1690 [8 per cell]
Gd  0.2500  0.2500  0.5000 [4 per cell]
Si  0.0356  0.1452  0.6430 [8 per cell]
Cl  0.1052  0.2206  0.9206 [8 per cell]
Cl  0.1209  0.5000  0.1439 [4 per cell]
Cl  0.1843  0.5000  0.4960 [4 per cell]
Cl  0.2229  0.0000  0.1631 [4 per cell]
O  0.0000  0.1451  0.5000 [4 per cell]
O  0.0466  0.0000  0.6906 [4 per cell]
O  0.0875  0.2171  0.3278 [8 per cell]
O  0.1737  0.2163  0.6720 [8 per cell]

=====

6.
For GdTe2ClO5, a structure optimized by DFT (PBE) gives the theoretical powder diffractogram in this record (Cu Kα, 1.54184 Å).

Principal peaks in the range 10° ≤ 2θ ≤ 80°, by angle:
- 2θ = 10.35°, I 412, (0 0 1)
- 2θ = 24.88°, I 123, (1 0 1)
- 2θ = 30.86°, I 1000, (1 0 2)
- 2θ = 32.11°, I 382, (1 1 0)
- 2θ = 46.05°, I 244, (2 0 0)
- 2θ = 54.09°, I 237, (1 1 4)
- 2θ = 56.47°, I 358, (2 1 2)
- 2θ = 64.31°, I 128, (2 0 4)

Structural model:
abc: 3.9419 3.9419 8.5445
angles: 90.00 90.00 90.00
Space group P4/mmm (No. 123)
Asymmetric unit:
Gd  0.0000  0.0000  0.0000 [1 per cell]
Te  0.5000  0.5000  0.2584 [2 per cell]
Cl  0.0000  0.0000  0.5000 [1 per cell]
O  0.0000  0.5000  0.1807 [4 per cell]
O  0.5000  0.5000  0.0000 [1 per cell]

=====

7.
For GdTiClO3, a structure optimized by DFT (PBE) gives the theoretical powder diffractogram in this record (Cu Kα, 1.54184 Å).

Principal peaks in the range 10° ≤ 2θ ≤ 80°, by angle:
- 2θ = 18.34°, I 247, (0 0 2)
- 2θ = 18.88°, I 577, (2 0 0)
- 2θ = 25.18°, I 1000, (1 1 -1)
- 2θ = 30.07°, I 250, (2 0 2)
- 2θ = 35.07°, I 302, (1 1 -3)
- 2θ = 35.67°, I 486, (3 1 -1)
- 2θ = 36.59°, I 349, (2 0 -4)
- 2θ = 46.01°, I 229, (0 2 0)

Structural model:
abc: 9.8160 3.9450 10.1010
angles: 90.00 106.69 90.00
Space group C2/m (No. 12)
Asymmetric unit:
Gd  0.2199  0.0000  0.2059 [4 per cell]
Ti  0.1200  0.5000  0.4337 [4 per cell]
Cl  0.1133  0.0000  0.9040 [4 per cell]
O  0.0775  0.5000  0.6221 [4 per cell]
O  0.1502  0.5000  0.2584 [4 per cell]
O  0.1674  0.0000  0.4390 [4 per cell]

=====

8.
For Rb3GdCl6, a structure optimized by DFT (PBE) gives the theoretical powder diffractogram in this record (Cu Kα, 1.54184 Å).

Principal peaks in the range 10° ≤ 2θ ≤ 80°, by angle:
- 2θ = 15.32°, I 209, (2 0 0)
- 2θ = 21.73°, I 1000, (2 2 0)
- 2θ = 30.92°, I 683, (4 0 0)
- 2θ = 38.10°, I 458, (4 2 2)
- 2θ = 44.29°, I 465, (4 4 0)
- 2θ = 49.85°, I 244, (6 2 0)
- 2θ = 59.82°, I 272, (6 4 2)
- 2θ = 73.16°, I 186, (8 4 0)

Structural model:
abc: 11.5700 11.5700 11.5700
angles: 90.00 90.00 90.00
Space group Fm-3m (No. 225)
Asymmetric unit:
Rb  0.0000  0.0000  0.0000 [4 per cell]
Rb  0.2500  0.2500  0.2500 [8 per cell]
Gd  0.0000  0.0000  0.5000 [4 per cell]
Cl  0.0000  0.0000  0.2695 [24 per cell]